This entry pairs a crystal structure of Pm2Cd4Hg3 with its theoretical X-ray powder pattern. Radiation: λ = 1.5418 Å (Cu Kα). Structure: the GGA-PBE geometry in Alexandria.
Lines closer than 0.1° are merged.

abc: 8.977 8.977 8.617
angles: 90.00 90.00 139.23
Element x y z (fractional)
Pm: 0.100 0.900 0.896
Pm: 0.400 0.600 0.396
Pm: 0.600 0.400 0.604
Pm: 0.900 0.100 0.104
Cd: 0.173 0.827 0.507
Cd: 0.181 0.319 0.750
Cd: 0.319 0.181 0.250
Cd: 0.327 0.673 0.007
Cd: 0.673 0.327 0.993
Cd: 0.681 0.819 0.750
Cd: 0.819 0.681 0.250
Cd: 0.827 0.173 0.493
Hg: 0.000 0.000 0.500
Hg: 0.004 0.496 0.750
Hg: 0.496 0.004 0.250
Hg: 0.500 0.500 0.000
Hg: 0.504 0.996 0.750
Hg: 0.996 0.504 0.250

Main lines, in order of falling intensity (2θ from 5° to 70°):
two_theta, I_rel
35.5, 100.0
31.9, 78.7
38.3, 57.5
61.9, 45.4
43.3, 30.0
41.6, 28.6
32.3, 28.4
23.2, 26.0
34.8, 26.0
33.0, 21.9
52.7, 20.3
30.5, 19.4